AcLa3: theoretical X-ray diffraction stick pattern (copper Kα), based on a cell relaxed with PBE.
Neutral-atom scattering factors, no anomalous dispersion.

Cell and atoms:
```
data_AcLa3
_cell_length_a 8.586
_cell_length_b 8.586
_cell_length_c 8.586
_cell_angle_alpha 90.00
_cell_angle_beta 90.00
_cell_angle_gamma 90.00
_space_group_name_H-M_alt 'F m -3 m'
_space_group_IT_number 225
_space_group_name_Hall '-F 4 2 3'
loop_
_atom_site_label
_atom_site_type_symbol
_atom_site_fract_x
_atom_site_fract_y
_atom_site_fract_z
Ac1 Ac 0.000 0.000 0.000
La1 La 0.000 0.000 0.500
La2 La 0.250 0.250 0.250
```

Peak list (6 most intense, 2θ = 10–90°, sorted by position)
2θ (°)  intensity  index
29.4  1000  2 2 0
42.1  190  4 0 0
52.2  409  4 2 2
61.1  128  4 4 0
69.2  176  6 2 0
84.4  209  6 4 2